Entry 1:
# La2Dy4Tm
Calculated XRD peak list, CuKα. Input: a cell relaxed with GGA-PBE.

Main lines, in order of falling intensity (15° ≤ 2θ ≤ 90°):
two_theta, Rel. int.
34.91, 100
31.32, 71
27.70, 43
32.22, 41
43.00, 26
62.40, 23
59.20, 22
51.88, 20
62.87, 20
17.29, 17

Structural model:
```
7
Lattice="1.7276 -13.3193 0.0000 1.7276 13.3193 0.0000 0.0000 0.0000 5.5562" Properties=species:S:1:pos:R:3 pbc="T T T"
La 1.7276 8.1503 0.0000
La 1.7276 -8.1503 0.0000
Dy 1.7276 10.3133 2.7781
Dy 1.7276 1.9158 0.0000
Dy 1.7276 -1.9158 0.0000
Dy 1.7276 -10.3133 2.7781
Tm 1.7276 0.0000 2.7781
```


Entry 2:
# La3DyTm
Calculated XRD peak list, CuKα. Input: a cell relaxed with GGA-PBE.

Main lines, in order of falling intensity (15° ≤ 2θ ≤ 90°):
two_theta, Rel. int.
30.46, 100
30.02, 85
32.01, 46
32.45, 40
46.22, 30
60.43, 28
33.50, 20
56.09, 18
56.91, 17
61.35, 15

Structural model:
```
10
Lattice="2.7960 -8.6200 0.0000 2.7960 8.6200 0.0000 0.0000 0.0000 7.1842" Properties=species:S:1:pos:R:3 pbc="T T T"
La 2.7960 8.6118 0.0000
La 2.7960 -8.6118 3.5921
La 2.7960 5.1634 7.1443
La 2.7960 1.8700 5.3847
La 2.7960 -1.8700 1.7926
La 2.7960 -5.1634 3.5522
Dy 2.7960 1.9106 1.7431
Dy 2.7960 -1.9106 5.3353
Tm 2.7960 5.2164 3.5608
Tm 2.7960 -5.2164 7.1529
```


Entry 3:
# La12DyTm2
Calculated XRD peak list, CuKα. Input: a cell relaxed with GGA-PBE.

Main lines, in order of falling intensity (15° ≤ 2θ ≤ 90°):
two_theta, Rel. int.
29.60, 100
29.76, 99
34.37, 67
49.43, 48
58.61, 36
34.47, 33
58.71, 21
58.87, 14
58.97, 14
61.44, 12

Structural model:
```
15
Lattice="3.6981 0.0000 0.0000 -0.0053 5.2222 0.0000 -1.7875 -2.5885 27.5148" Properties=species:S:1:pos:R:3 pbc="T T T"
La 0.0234 0.0043 1.8079
La 0.0513 0.0139 5.5149
La 0.0480 0.0179 9.0972
La 0.0363 0.0128 12.8008
La 0.0184 0.0090 16.5525
La 0.0227 0.0147 23.8468
La 1.8826 2.6190 3.6680
La 1.8868 2.6247 10.9623
La 1.8689 2.6209 14.7140
La 1.8572 2.6158 18.4175
La 1.8539 2.6198 21.9999
La 1.8819 2.6294 25.7069
Dy 1.8464 2.6111 0.0000
Tm 0.0073 0.0072 20.2031
Tm 1.8980 2.6265 7.3116
```


Entry 4:
# La6Dy12Tm
Calculated XRD peak list, CuKα. Input: a cell relaxed with GGA-PBE.

Main lines, in order of falling intensity (15° ≤ 2θ ≤ 90°):
two_theta, Rel. int.
32.09, 100
31.15, 96
24.66, 58
34.73, 46
32.76, 40
27.16, 28
61.01, 23
34.52, 23
38.01, 21
49.93, 16

Structural model:
```
19
Lattice="8.3688 4.8317 2.7340 -8.3688 4.8317 2.7340 0.0000 -9.6635 2.7340" Properties=species:S:1:pos:R:3 pbc="T T T"
La -5.8735 -3.3911 4.8845
La 0.0000 -6.7822 3.3177
La -5.8735 3.3911 3.3177
La 5.8735 -3.3911 4.8845
La 0.0000 6.7822 4.8845
La 5.8735 3.3911 3.3177
Dy -3.2343 -4.0615 2.7340
Dy -5.1345 -0.7702 2.7340
Dy 0.0000 -3.1292 3.1127
Dy -2.7099 1.5646 3.1127
Dy 3.2343 -4.0615 2.7340
Dy -1.9003 4.8317 2.7340
Dy -2.7100 -1.5646 5.0895
Dy 2.7099 1.5646 3.1127
Dy 5.1345 -0.7702 2.7340
Dy 1.9003 4.8317 2.7340
Dy 2.7100 -1.5646 5.0895
Dy 0.0000 3.1292 5.0895
Tm 0.0000 0.0000 4.1011
```


Entry 5:
# La2DyTm6
Calculated XRD peak list, CuKα. Input: a cell relaxed with GGA-PBE.

Main lines, in order of falling intensity (15° ≤ 2θ ≤ 90°):
two_theta, Rel. int.
30.91, 100
35.57, 64
27.82, 30
63.70, 25
42.04, 20
62.73, 18
54.96, 17
58.00, 16
53.14, 14
30.59, 12

Structural model:
```
9
Lattice="-1.6924 5.0065 8.6882 1.6924 -5.0065 8.6882 1.6924 5.0065 -8.6882" Properties=species:S:1:pos:R:3 pbc="T T T"
La 0.0000 0.0000 2.8999
La 0.0000 0.0000 14.4765
Dy 0.0000 0.0000 8.6882
Tm 1.6924 3.1450 -2.8797
Tm 0.0000 1.9524 0.0000
Tm 1.6924 3.1450 2.8797
Tm 0.0000 1.8615 5.8085
Tm 0.0000 8.0606 0.0000
Tm 0.0000 1.8615 11.5680
```


Entry 6:
# LaDy2Tm6
Calculated XRD peak list, CuKα. Input: a cell relaxed with GGA-PBE.

Main lines, in order of falling intensity (15° ≤ 2θ ≤ 90°):
two_theta, Rel. int.
33.80, 100
32.13, 73
30.99, 51
28.95, 51
61.16, 45
51.31, 41
42.92, 32
58.03, 28
35.75, 17
62.87, 17

Structural model:
```
9
Lattice="3.5612 0.0000 0.0000 -1.7806 3.0841 0.0000 0.0000 0.0000 25.9680" Properties=species:S:1:pos:R:3 pbc="T T T"
La 0.0000 0.0000 0.0000
Dy 0.0000 2.0560 8.5519
Dy 0.0000 2.0560 17.4161
Tm 0.0000 0.0000 5.7302
Tm 0.0000 0.0000 11.3186
Tm 0.0000 0.0000 14.6494
Tm 0.0000 0.0000 20.2379
Tm 0.0000 2.0560 2.9887
Tm 0.0000 2.0560 22.9793
```


Entry 7:
# La5Dy2Tm2
Calculated XRD peak list, CuKα. Input: a cell relaxed with GGA-PBE.

Main lines, in order of falling intensity (15° ≤ 2θ ≤ 90°):
two_theta, Rel. int.
30.06, 100
34.81, 34
50.12, 24
34.94, 17
59.43, 14
59.56, 14
59.65, 11
81.46, 9
62.46, 6
49.99, 6

Structural model:
```
9
Lattice="6.3071 0.0000 0.0000 1.0495 6.2287 0.0000 1.0533 1.9233 7.8153" Properties=species:S:1:pos:R:3 pbc="T T T"
La 0.0000 0.0000 0.0000
La 2.1046 1.7654 4.3374
La 3.1645 4.7783 2.5679
La 5.2454 3.3737 5.2474
La 6.3054 6.3866 3.4779
Dy 2.1151 4.9846 6.1224
Dy 6.2949 3.1674 1.6929
Tm 3.1411 1.6207 0.8459
Tm 5.2689 6.5313 6.9694
```


Entry 8:
# La2Dy5Tm6
Calculated XRD peak list, CuKα. Input: a cell relaxed with GGA-PBE.

Main lines, in order of falling intensity (15° ≤ 2θ ≤ 90°):
two_theta, Rel. int.
32.31, 100
31.98, 99
30.98, 56
34.44, 41
31.69, 40
61.72, 32
35.30, 29
29.38, 26
56.97, 25
36.73, 25

Structural model:
```
26
Lattice="11.6657 0.0000 0.0000 0.0000 20.1687 0.0000 0.0000 0.0000 3.5636" Properties=species:S:1:pos:R:3 pbc="T T T"
La 1.9459 4.4569 0.0000
La 3.8869 14.5413 0.0000
La 7.7787 5.6274 0.0000
La 9.7198 15.7118 0.0000
Dy 0.0000 10.0843 1.7818
Dy 1.1093 15.7660 1.7818
Dy 2.3380 1.0523 1.7818
Dy 3.4948 11.1367 1.7818
Dy 4.7236 5.6817 1.7818
Dy 5.8328 0.0000 1.7818
Dy 6.9421 14.4870 1.7818
Dy 8.1709 9.0320 1.7818
Dy 9.3276 19.1164 1.7818
Dy 10.5564 4.4027 1.7818
Tm 0.7019 18.6467 0.0000
Tm 0.8875 12.8521 0.0000
Tm 2.1220 7.6315 1.7818
Tm 3.7109 17.7158 1.7818
Tm 4.9454 2.7677 0.0000
Tm 5.1309 8.5623 0.0000
Tm 6.5347 11.6064 0.0000
Tm 6.7203 17.4009 0.0000
Tm 7.9548 2.4528 1.7818
Tm 9.5437 12.5372 1.7818
Tm 10.7782 7.3166 0.0000
Tm 10.9638 1.5220 0.0000
```